Computed X-ray diffraction stick pattern
Compound: Sc5Si10Rh4
Radiation: a wavelength of 1.5418 Å
Structure: a crystal structure in Alexandria, relaxed with PBE
Neutral-atom scattering factors, no anomalous dispersion.

Structural model:
```
data_Sc5Si10Rh4
_cell_length_a 12.3976
_cell_length_b 12.3976
_cell_length_c 4.0512
_cell_angle_alpha 90.00
_cell_angle_beta 90.00
_cell_angle_gamma 90.00
_symmetry_space_group_name_H-M 'P 4/m b m'
_symmetry_Int_Tables_number 127
_symmetry_space_group_name_Hall '-P 4 2ab'
loop_
_atom_site_label
_atom_site_type_symbol
_atom_site_fract_x
_atom_site_fract_y
_atom_site_fract_z
Sc1 Sc 0.0000 0.0000 0.0000
Sc2 Sc 0.1138 0.3862 0.5000
Sc3 Sc 0.1747 0.6747 0.5000
Si1 Si 0.0035 0.8472 0.5000
Si2 Si 0.0657 0.5657 0.0000
Si3 Si 0.1641 0.2006 0.0000
Rh1 Rh 0.0201 0.7538 0.0000
```

Largest 12 diffraction maxima, low angle first, 10 to 80 degrees two-theta:
2θ = 20.3°, d = 4.383 Å, I = 74, (2 2 0)
2θ = 21.9°, d = 4.051 Å, I = 41, (0 0 1)
2θ = 28.8°, d = 3.099 Å, I = 36, (4 0 0)
2θ = 30.0°, d = 2.975 Å, I = 51, (2 2 1)
2θ = 36.5°, d = 2.462 Å, I = 100, (4 0 1)
2θ = 37.2°, d = 2.414 Å, I = 31, (4 1 1)
2θ = 38.0°, d = 2.370 Å, I = 34, (3 3 1)
2θ = 44.7°, d = 2.026 Å, I = 43, (0 0 2)
2θ = 46.3°, d = 1.960 Å, I = 32, (6 2 0)
2θ = 47.1°, d = 1.928 Å, I = 26, (4 4 1)
2θ = 51.8°, d = 1.765 Å, I = 37, (6 2 1)
2θ = 66.4°, d = 1.409 Å, I = 23, (6 2 2)